This entry pairs a crystal structure of BeZnAu4 with its calculated powder diffraction line list. Radiation: Cu Kα, 1.54184 Å. Structure: a PBE-relaxed structure.
Neutral-atom scattering factors, no anomalous dispersion.

Structure:
```
data_BeZnAu4
_chemical_formula_sum 'Be4 Zn4 Au16'
_cell_length_a 7.4842
_cell_length_b 11.2190
_cell_length_c 4.9489
_cell_angle_alpha 90.00
_cell_angle_beta 111.78
_cell_angle_gamma 90.00
_space_group_name_H-M_alt 'C 1 2/c 1'
_space_group_IT_number 15
loop_
_space_group_symop_operation_xyz
'x,y,z'
'-x,-y,-z'
'-x,y,-z+1/2'
'x,-y,z+1/2'
'x+1/2,y+1/2,z'
'-x+1/2,-y+1/2,-z'
'-x+1/2,y+1/2,-z+1/2'
'x+1/2,-y+1/2,z+1/2'
loop_
_atom_site_label
_atom_site_type_symbol
_atom_site_fract_x
_atom_site_fract_y
_atom_site_fract_z
Be1 Be 0.0000 0.0037 0.2500
Zn1 Zn 0.0000 0.3795 0.2500
Au1 Au 0.1115 0.1777 0.5702
Au2 Au 0.2067 0.4152 0.8401
```

Peak list (8 most intense, 5° ≤ 2θ ≤ 70°, by angle)
| 2θ/deg | I/Imax | index |
| --- | --- | --- |
| 27.08 | 20 | 1 3 0 |
| 30.49 | 17 | 1 3 -1 |
| 37.27 | 100 | 3 1 -1 |
| 37.57 | 28 | 0 4 1 |
| 41.21 | 59 | 2 2 1 |
| 41.46 | 26 | 2 4 -1 |
| 43.92 | 31 | 1 3 -2 |
| 67.91 | 16 | 1 1 3 |